Diffraction record for Ti6HgN. The powder X-ray diffraction pattern is computed, not measured: it uses a cell relaxed with GGA-PBE and CuKα.

Structural model:
```
Ti6HgN
1.0
4.840 0.000 0.000
-0.080 5.387 0.000
-2.027 -0.758 4.970
Ti Hg N
6 1 1
Direct
0.057 0.310 0.163 Ti
0.181 0.822 0.434 Ti
0.411 0.409 0.724 Ti
0.589 0.591 0.276 Ti
0.819 0.178 0.566 Ti
0.943 0.690 0.837 Ti
0.500 0.000 0.000 Hg
0.000 0.500 0.500 N
```

Most intense lines, 10 to 80 degrees two-theta, in order of rising 2θ:
two_theta  Rel. int.
17.85  46.8
19.83  40.3
21.07  62.4
22.56  43.4
25.06  43.1
27.78  40.7
37.27  92.0
37.56  100.0
37.85  95.6
38.08  88.9
38.88  95.3
39.88  90.3

Diffraction record for Cs3K4Au3O2. The powder X-ray diffraction pattern is computed, not measured: it uses a cell relaxed with GGA-PBE and CuKα.

Structural model:
```
Cs3K4Au3O2
1.0
-2.661 2.929 14.411
2.661 -2.929 14.411
2.661 2.929 -14.411
Cs K Au O
3 4 3 2
Direct
0.000 0.000 0.000 Cs
0.403 0.903 0.500 Cs
0.597 0.097 0.500 Cs
0.107 0.607 0.500 K
0.195 0.195 0.000 K
0.805 0.805 0.000 K
0.893 0.393 0.500 K
0.313 0.313 0.000 Au
0.500 0.500 0.000 Au
0.687 0.687 0.000 Au
0.106 0.106 0.000 O
0.894 0.894 0.000 O
```

Most intense lines, 10 to 80 degrees two-theta, in order of rising 2θ:
two_theta  Rel. int.
15.44  25.1
22.57  28.5
22.74  35.4
25.78  57.8
29.32  100.0
30.52  38.6
31.03  28.8
33.68  33.8
44.09  22.7
46.09  24.2
56.15  21.6
56.60  20.2

Diffraction record for Eu2TlCl5. The powder X-ray diffraction pattern is computed, not measured: it uses a cell relaxed with GGA-PBE and CuKα.

Structural model:
```
Eu2TlCl5
1.0
8.970 0.000 0.000
0.000 7.903 0.000
-0.017 0.000 12.782
Eu Tl Cl
8 4 20
Direct
0.003 0.020 0.178 Eu
0.003 0.480 0.678 Eu
0.247 0.068 0.495 Eu
0.247 0.432 0.995 Eu
0.753 0.568 0.005 Eu
0.753 0.932 0.505 Eu
0.997 0.520 0.322 Eu
0.997 0.980 0.822 Eu
0.486 0.540 0.332 Tl
0.486 0.960 0.832 Tl
0.514 0.040 0.168 Tl
0.514 0.460 0.668 Tl
0.039 0.658 0.102 Cl
0.039 0.842 0.602 Cl
0.208 0.671 0.821 Cl
0.208 0.829 0.321 Cl
0.210 0.052 0.997 Cl
0.210 0.448 0.497 Cl
0.224 0.193 0.715 Cl
0.224 0.307 0.215 Cl
0.468 0.662 0.090 Cl
0.468 0.838 0.590 Cl
0.532 0.162 0.410 Cl
0.532 0.338 0.910 Cl
0.776 0.693 0.785 Cl
0.776 0.807 0.285 Cl
0.790 0.552 0.503 Cl
0.790 0.948 0.003 Cl
0.792 0.171 0.679 Cl
0.792 0.329 0.179 Cl
0.961 0.158 0.398 Cl
0.961 0.342 0.898 Cl
```

Most intense lines, 10 to 80 degrees two-theta, in order of rising 2θ:
two_theta  Rel. int.
22.50  47.0
23.72  100.0
23.85  73.6
24.25  53.1
30.15  24.2
31.02  33.0
33.31  63.2
34.46  33.0
40.23  49.2
42.26  47.1
46.55  21.1
47.22  36.9

Diffraction record for K3TlRu2O9. The powder X-ray diffraction pattern is computed, not measured: it uses a cell relaxed with GGA-PBE and CuKα.

Structural model:
```
K3TlRu2O9
1.0
5.714 0.000 0.000
-2.857 4.948 0.000
0.000 0.000 7.195
K Tl Ru O
3 1 2 9
Direct
0.000 0.000 0.000 K
0.333 0.667 0.665 K
0.667 0.333 0.335 K
0.000 0.000 0.500 Tl
0.333 0.667 0.153 Ru
0.667 0.333 0.847 Ru
0.000 0.500 0.000 O
0.176 0.353 0.305 O
0.176 0.824 0.305 O
0.353 0.176 0.695 O
0.500 0.000 0.000 O
0.500 0.500 0.000 O
0.647 0.824 0.305 O
0.824 0.176 0.695 O
0.824 0.647 0.695 O
```

Most intense lines, 10 to 80 degrees two-theta, in order of rising 2θ:
two_theta  Rel. int.
21.80  100.0
30.73  82.2
31.31  76.7
44.44  55.0
49.63  19.3
50.41  21.9
54.26  17.7
55.36  29.7
55.73  14.7
64.00  16.1
65.32  15.7
72.97  15.1

Diffraction record for HoPuOs. The powder X-ray diffraction pattern is computed, not measured: it uses a cell relaxed with GGA-PBE and CuKα.

Structural model:
```
HoPuOs
1.0
0.000 6.222 12.878
1.803 0.000 12.878
1.803 6.222 0.000
Ho Pu Os
4 4 4
Direct
0.003 0.747 0.003 Ho
0.253 0.997 0.253 Ho
0.747 0.003 0.747 Ho
0.997 0.253 0.997 Ho
0.014 0.014 0.736 Pu
0.264 0.264 0.986 Pu
0.736 0.736 0.014 Pu
0.986 0.986 0.264 Pu
0.311 0.311 0.439 Os
0.439 0.439 0.311 Os
0.561 0.561 0.689 Os
0.689 0.689 0.561 Os
```

Most intense lines, 10 to 80 degrees two-theta, in order of rising 2θ:
two_theta  Rel. int.
27.75  25.7
28.69  21.4
31.95  73.7
34.57  61.4
35.59  100.0
37.80  30.2
41.26  20.3
45.52  26.7
51.79  25.7
52.86  21.2
63.59  20.1
70.58  22.7

Diffraction record for Li2Ti3O7. The powder X-ray diffraction pattern is computed, not measured: it uses a cell relaxed with GGA-PBE and CuKα.

Structural model:
```
Li2Ti3O7
1.0
5.166 -2.472 0.000
5.166 2.472 0.000
-0.305 0.000 10.620
Li Ti O
4 6 14
Direct
0.030 0.670 0.816 Li
0.330 0.970 0.684 Li
0.670 0.030 0.316 Li
0.970 0.330 0.184 Li
0.000 0.500 0.500 Ti
0.262 0.618 0.104 Ti
0.382 0.738 0.396 Ti
0.500 0.000 0.000 Ti
0.618 0.262 0.604 Ti
0.738 0.382 0.896 Ti
0.096 0.169 0.979 O
0.130 0.870 0.250 O
0.169 0.096 0.479 O
0.254 0.378 0.661 O
0.367 0.423 0.428 O
0.378 0.254 0.161 O
0.423 0.367 0.928 O
0.577 0.633 0.072 O
0.622 0.746 0.839 O
0.633 0.577 0.572 O
0.746 0.622 0.339 O
0.831 0.904 0.521 O
0.870 0.130 0.750 O
0.904 0.831 0.021 O
```

Most intense lines, 10 to 80 degrees two-theta, in order of rising 2θ:
two_theta  Rel. int.
16.70  81.7
19.91  24.0
21.71  67.5
23.69  39.7
32.49  54.1
32.60  100.0
33.00  13.6
39.72  32.9
53.32  16.9
54.54  24.8
55.35  13.9
55.66  14.1

Diffraction record for NdTl2I6. The powder X-ray diffraction pattern is computed, not measured: it uses a cell relaxed with GGA-PBE and CuKα.

Structural model:
```
NdTl2I6
1.0
4.738 0.000 0.000
0.000 8.427 4.467
0.000 -8.427 4.467
Nd Tl I
1 2 6
Direct
0.000 0.000 0.000 Nd
0.500 0.291 0.644 Tl
0.500 0.644 0.291 Tl
0.000 0.367 0.991 I
0.000 0.629 0.629 I
0.000 0.991 0.367 I
0.500 0.251 0.251 I
0.500 0.752 0.986 I
0.500 0.986 0.752 I
```

Most intense lines, 10 to 80 degrees two-theta, in order of rising 2θ:
two_theta  Rel. int.
18.68  28.0
26.55  70.0
27.44  61.5
28.32  52.0
29.45  62.8
31.86  26.2
34.11  100.0
34.86  15.8
36.02  19.2
37.98  36.6
51.71  20.2
51.94  31.8

Diffraction record for HfNbC. The powder X-ray diffraction pattern is computed, not measured: it uses a cell relaxed with GGA-PBE and CuKα.

Structural model:
```
HfNbC
1.0
3.254 0.000 0.000
0.000 5.205 0.000
0.000 0.000 5.423
Hf Nb C
2 2 2
Direct
0.000 0.022 0.000 Hf
0.500 0.978 0.500 Hf
0.000 0.478 0.643 Nb
0.500 0.522 0.143 Nb
0.000 0.742 0.320 C
0.500 0.258 0.820 C
```

Most intense lines, 10 to 80 degrees two-theta, in order of rising 2θ:
two_theta  Rel. int.
17.03  15.7
32.08  19.6
33.04  15.8
34.46  30.8
36.54  100.0
37.40  36.7
47.79  15.7
48.48  12.4
58.40  16.0
63.10  17.3
69.61  15.5
69.80  11.8